La2Pr2Sb2H: theoretical X-ray powder pattern (λ = 1.5418 Å (Cu Kα)), based on a cell relaxed with PBE.
Lines closer than 0.1° are merged.

Main lines, sorted by position (2θ from 15° to 90°):
| 2θ/deg | I_rel | hkl |
| --- | --- | --- |
| 28.65 | 100 | 1 1 2 |
| 29.89 | 38 | 0 0 6 |
| 31.37 | 33 | 1 0 5 |
| 33.57 | 93 | 1 1 4 |
| 38.31 | 62 | 2 0 0 |
| 49.33 | 38 | 2 0 6 |

Cell and atoms:
a = 4.699 Å, b = 4.699 Å, c = 17.935 Å
α = 90.00°, β = 90.00°, γ = 90.00°
Space group I4/mmm (No. 139)
Inequivalent atoms, fractional coordinates:
La 0.000 0.000 0.178 x4
Pr 0.000 0.500 0.000 x4
Sb 0.000 0.000 0.364 x4
H 0.000 0.000 0.000 x2


Pr2PSe: theoretical X-ray powder pattern (λ = 1.5418 Å (Cu Kα)), based on a cell relaxed with PBE.
Lines closer than 0.1° are merged.

Main lines, sorted by position (2θ from 15° to 90°):
| 2θ/deg | I_rel | hkl |
| --- | --- | --- |
| 24.30 | 27 | 0 0 2 |
| 24.50 | 77 | 1 0 1 |
| 34.78 | 51 | 0 2 2 |
| 34.93 | 100 | 1 2 1 |
| 42.88 | 36 | 1 0 3 |
| 56.64 | 41 | 2 2 2 |

Cell and atoms:
a = 4.184 Å, b = 7.265 Å, c = 7.325 Å
α = 90.00°, β = 90.00°, γ = 90.00°
Space group Pmmn (No. 59, origin choice 2)
Inequivalent atoms, fractional coordinates:
Pr 0.250 0.003 0.234 x4
P 0.250 0.750 0.916 x2
Se 0.250 0.250 0.580 x2


Mg6AlC: theoretical X-ray powder pattern (λ = 1.5418 Å (Cu Kα)), based on a cell relaxed with PBE.
Lines closer than 0.1° are merged.

Main lines, sorted by position (2θ from 15° to 90°):
| 2θ/deg | I_rel | hkl |
| --- | --- | --- |
| 32.35 | 20 | 0 3 1 |
| 35.97 | 31 | 0 0 4 |
| 37.47 | 100 | 1 2 2 |
| 38.57 | 26 | 1 1 3 |
| 51.69 | 15 | 2 0 0 |
| 65.65 | 14 | 1 2 6 |

Cell and atoms:
a = 3.537 Å, b = 8.642 Å, c = 9.988 Å
α = 90.00°, β = 90.00°, γ = 90.00°
Space group Amm2 (No. 38)
Inequivalent atoms, fractional coordinates:
Mg 0.000 0.000 0.000 x2
Mg 0.000 0.000 0.454 x2
Mg 0.000 0.167 0.740 x4
Mg 0.500 0.242 0.978 x4
Al 0.500 0.000 0.232 x2
C 0.500 0.000 0.854 x2


TlIn4Pb3: theoretical X-ray powder pattern (λ = 1.5418 Å (Cu Kα)), based on a cell relaxed with PBE.
Lines closer than 0.1° are merged.

Main lines, sorted by position (2θ from 15° to 90°):
| 2θ/deg | I_rel | hkl |
| --- | --- | --- |
| 27.37 | 34 | 2 0 0 |
| 30.99 | 55 | 0 4 0 |
| 31.79 | 54 | 2 1 1 |
| 32.03 | 100 | 0 2 2 |
| 38.86 | 46 | 2 3 1 |
| 42.62 | 35 | 2 2 2 |

Cell and atoms:
a = 6.517 Å, b = 11.544 Å, c = 6.388 Å
α = 90.00°, β = 90.00°, γ = 90.00°
Space group Imm2 (No. 44)
Inequivalent atoms, fractional coordinates:
Tl 0.000 0.000 0.000 x2
In 0.000 0.233 0.705 x4
In 0.249 0.000 0.491 x4
Pb 0.000 0.271 0.207 x4
Pb 0.000 0.500 0.526 x2


- Number 1 is which compound?
  La2Pr2Sb2H


- What is the formula in the first record?
  La2Pr2Sb2H